Computed powder diffraction line list
Compound: Na2MgNiH6
Radiation: Cu Kα
Structure: a cell relaxed with GGA-PBE
Neutral-atom scattering factors, no anomalous dispersion.

Main lines, by angle (10° ≤ 2θ ≤ 90°):
index	2θ/deg	Rel. int.
0 0 1	18.21	39.4
1 0 0	20.00	100.0
1 0 1	27.17	36.3
1 1 0	35.00	90.8
1 1 1	39.73	27.7
1 0 2	42.32	63.6
1 1 2	51.77	14.8
0 2 2	56.04	28.6
3 0 0	62.79	15.0
2 1 2	67.81	28.9

Structure:
abc: 5.1268 5.1268 4.8727
angles: 90.00 90.00 120.00
Space group P-3m1 (No. 164)
One atom of each set of equivalent atoms:
Na 0.3333 0.6667 0.3375 x2
Mg 0.0000 0.0000 0.0000 x1
Ni 0.0000 0.0000 0.5000 x1
H 0.1515 0.3030 0.7006 x6